Record 1
Diffraction record for Sr2HSeO6. The XRD peak list is computed, not measured: it uses a structure optimized by DFT (GGA-PBE) and Cu Kα.
Peak positions follow from Bragg's law for the DFT cell and can differ from measured ones.

The 10 most intense peaks (2θ = 10–80°), by angle:
| Position (°2θ) | I/Imax |
| --- | --- |
| 19.19 | 50.1 |
| 30.93 | 100.0 |
| 32.90 | 41.0 |
| 38.96 | 34.2 |
| 41.25 | 21.1 |
| 47.21 | 33.1 |
| 53.74 | 20.5 |
| 57.51 | 33.4 |
| 64.46 | 19.9 |
| 68.81 | 12.6 |

Crystal structure
```
data_Sr2HSeO6
_space_group_name_H-M_alt 'I 4 m m'
_space_group_IT_number 107
_space_group_name_Hall 'I 4 -2'
_cell_length_a 5.4455
_cell_length_b 5.4455
_cell_length_c 8.7542
_cell_angle_alpha 90.00
_cell_angle_beta 90.00
_cell_angle_gamma 90.00
loop_
_atom_site_label
_atom_site_fract_x
_atom_site_fract_y
_atom_site_fract_z
Sr1 0.0000 0.5000 0.0000
H1 0.0000 0.0000 0.3424
Se1 0.0000 0.0000 0.7532
O1 0.0000 0.0000 0.4540
O2 0.0000 0.0000 0.9509
O3 0.2246 0.2246 0.7161
```

***

Record 2
Diffraction record for Tl2H2Se2O. The XRD peak list is computed, not measured: it uses a structure optimized by DFT (GGA-PBE) and Cu Kα.
Peak positions follow from Bragg's law for the DFT cell and can differ from measured ones.

The 10 most intense peaks (2θ = 10–80°), by angle:
| Position (°2θ) | I/Imax |
| --- | --- |
| 15.08 | 9.5 |
| 23.12 | 41.8 |
| 30.40 | 100.0 |
| 39.56 | 10.6 |
| 40.60 | 30.9 |
| 46.33 | 15.0 |
| 51.53 | 15.7 |
| 57.98 | 19.1 |
| 67.52 | 9.7 |
| 67.66 | 13.1 |

Crystal structure
```
data_Tl2H2Se2O
_space_group_name_H-M_alt 'I m m m'
_space_group_IT_number 71
_space_group_name_Hall '-I 2 2'
_cell_length_a 4.4506
_cell_length_b 7.6850
_cell_length_c 9.1115
_cell_angle_alpha 90.00
_cell_angle_beta 90.00
_cell_angle_gamma 90.00
loop_
_atom_site_label
_atom_site_fract_x
_atom_site_fract_y
_atom_site_fract_z
Tl1 0.0000 0.0000 0.2329
H1 0.0000 0.3744 0.0000
Se1 0.0000 0.3426 0.5000
O1 0.0000 0.5000 0.0000
```

***

Record 3
Diffraction record for ZnH2SeO4. The XRD peak list is computed, not measured: it uses a structure optimized by DFT (GGA-PBE) and Cu Kα.
Peak positions follow from Bragg's law for the DFT cell and can differ from measured ones.

The 10 most intense peaks (2θ = 10–80°), by angle:
| Position (°2θ) | I/Imax |
| --- | --- |
| 12.77 | 100.0 |
| 16.66 | 26.3 |
| 20.04 | 25.2 |
| 22.31 | 69.8 |
| 27.91 | 33.0 |
| 30.23 | 64.0 |
| 31.49 | 20.2 |
| 31.73 | 53.5 |
| 35.95 | 48.8 |
| 56.34 | 39.4 |

Crystal structure
```
data_ZnH2SeO4
_space_group_name_H-M_alt 'P 1 21/c 1'
_space_group_IT_number 14
_cell_length_a 4.8781
_cell_length_b 13.8698
_cell_length_c 7.3064
_cell_angle_alpha 90.00
_cell_angle_beta 127.96
_cell_angle_gamma 90.00
loop_
_space_group_symop_operation_xyz
'x,y,z'
'-x,-y,-z'
'-x,y+1/2,-z+1/2'
'x,-y+1/2,z+1/2'
loop_
_atom_site_label
_atom_site_fract_x
_atom_site_fract_y
_atom_site_fract_z
Zn1 0.1901 0.2312 0.3646
H1 0.2819 0.6182 0.9629
H2 0.4395 0.6318 0.2270
Se1 0.3790 0.6079 0.6267
O1 0.0530 0.6368 0.6405
O2 0.2733 0.1832 0.6616
O3 0.2894 0.6719 0.3888
O4 0.4981 0.1174 0.3765
```

***

Record 4
Diffraction record for ZnH2SeO5. The XRD peak list is computed, not measured: it uses a structure optimized by DFT (GGA-PBE) and Cu Kα.
Peak positions follow from Bragg's law for the DFT cell and can differ from measured ones.

The 10 most intense peaks (2θ = 10–80°), by angle:
| Position (°2θ) | I/Imax |
| --- | --- |
| 17.62 | 56.9 |
| 17.87 | 14.3 |
| 25.06 | 100.0 |
| 25.56 | 29.7 |
| 28.66 | 34.7 |
| 33.56 | 66.0 |
| 35.81 | 25.2 |
| 40.29 | 17.1 |
| 58.23 | 15.4 |
| 61.02 | 14.2 |

Crystal structure
```
data_ZnH2SeO5
_space_group_name_H-M_alt 'C 1 2/c 1'
_space_group_IT_number 15
_cell_length_a 7.0482
_cell_length_b 8.2196
_cell_length_c 7.7658
_cell_angle_alpha 90.00
_cell_angle_beta 115.42
_cell_angle_gamma 90.00
loop_
_space_group_symop_operation_xyz
'x,y,z'
'-x,-y,-z'
'-x,y,-z+1/2'
'x,-y,z+1/2'
'x+1/2,y+1/2,z'
'-x+1/2,-y+1/2,-z'
'-x+1/2,y+1/2,-z+1/2'
'x+1/2,-y+1/2,z+1/2'
loop_
_atom_site_label
_atom_site_fract_x
_atom_site_fract_y
_atom_site_fract_z
Zn1 0.2500 0.2500 0.0000
H1 0.0846 0.0490 0.7051
Se1 0.0000 0.4178 0.2500
O1 0.0000 0.1211 0.7500
O2 0.0118 0.3033 0.0778
O3 0.2176 0.4649 0.8424
```